For FeOF, a GGA+U-relaxed structure gives the calculated PXRD pattern in this record (Cu Ka).
Neutral-atom scattering factors, no anomalous dispersion.

Lattice parameters (Å, degrees): 6.2988 6.2988 3.9647 90.00 90.00 90.12
Positions (direct):
Fe1 0.9997 0.2570 0.0000
Fe2 0.0003 0.7430 0.0000
Fe3 0.2570 0.9997 0.5000
Fe4 0.7430 0.0003 0.5000
O1 0.0007 0.2114 0.5000
O2 0.2114 0.0007 0.0000
O3 0.7886 0.9993 0.0000
O4 0.9993 0.7886 0.5000
F1 0.2000 0.4996 0.0000
F2 0.4996 0.2000 0.5000
F3 0.5004 0.8000 0.5000
F4 0.8000 0.5004 0.0000

Largest 6 diffraction maxima, low angle first, 2θ = 15–90°:
2θ (°), I_rel
26.6, 100
31.8, 27
39.2, 27
40.5, 86
45.8, 33
58.6, 22

---

For Li9Mn2Co5O16, a GGA+U-relaxed structure gives the calculated PXRD pattern in this record (Cu Ka).
Neutral-atom scattering factors, no anomalous dispersion.

Lattice parameters (Å, degrees): 5.9235 6.4296 7.8768 87.39 75.79 76.56
Positions (direct):
Li1 0.0000 0.0000 0.0000
Li2 0.0026 0.5188 0.5279
Li3 0.1273 0.8848 0.6422
Li4 0.2490 0.2575 0.7600
Li5 0.2561 0.7633 0.2713
Li6 0.4940 0.5293 0.5248
Li7 0.5128 0.0014 0.0063
Li8 0.7536 0.7659 0.2665
Li9 0.7683 0.2500 0.7600
Mn1 0.1355 0.3890 0.1407
Mn2 0.3768 0.1308 0.3943
Co1 0.3754 0.6336 0.8825
Co2 0.6263 0.8863 0.6417
Co3 0.6344 0.3853 0.1379
Co4 0.8825 0.1368 0.3978
Co5 0.8856 0.6380 0.8855
O1 0.0838 0.1964 0.5656
O2 0.0897 0.6830 0.0788
O3 0.1716 0.5777 0.7168
O4 0.1980 0.0915 0.2209
O5 0.3194 0.4342 0.3078
O6 0.3423 0.9249 0.8221
O7 0.4271 0.3378 0.9585
O8 0.4375 0.8419 0.4443
O9 0.5590 0.1875 0.5560
O10 0.5946 0.6702 0.0671
O11 0.6710 0.5839 0.7066
O12 0.6748 0.0968 0.2067
O13 0.8155 0.9304 0.8264
O14 0.8404 0.4278 0.3214
O15 0.9107 0.8515 0.4584
O16 0.9525 0.3360 0.9772

Largest 6 diffraction maxima, low angle first, 2θ = 15–90°:
2θ (°), I_rel
18.4, 100
34.9, 17
41.9, 31
44.6, 25
44.9, 25
62.8, 15

---

For MnP2O7, a GGA+U-relaxed structure gives the calculated PXRD pattern in this record (Cu Ka).
Neutral-atom scattering factors, no anomalous dispersion.

Lattice parameters (Å, degrees): 4.9437 6.5528 15.3202 90.00 90.20 90.00
Positions (direct):
Mn1 0.2494 0.0819 0.3654
Mn2 0.2494 0.4181 0.8654
Mn3 0.7506 0.5819 0.1346
Mn4 0.7506 0.9181 0.6346
P1 0.2383 0.6023 0.6667
P2 0.2383 0.8977 0.1667
P3 0.2459 0.1967 0.5734
P4 0.2459 0.3033 0.0734
P5 0.7541 0.6967 0.9266
P6 0.7541 0.8033 0.4266
P7 0.7617 0.1023 0.8333
P8 0.7617 0.3977 0.3333
O1 0.0431 0.1931 0.8185
O2 0.0431 0.3069 0.3185
O3 0.0589 0.0901 0.6387
O4 0.0589 0.4099 0.1387
O5 0.1509 0.1715 0.4793
O6 0.1509 0.3285 0.9793
O7 0.2102 0.0634 0.0894
O8 0.2102 0.4366 0.5894
O9 0.3451 0.0065 0.2478
O10 0.3451 0.4935 0.7478
O11 0.4359 0.7454 0.1282
O12 0.4359 0.7546 0.6282
O13 0.4548 0.6483 0.9106
O14 0.4548 0.8517 0.4106
O15 0.5452 0.1483 0.5894
O16 0.5452 0.3517 0.0894
O17 0.5641 0.2454 0.3718
O18 0.5641 0.2546 0.8718
O19 0.6549 0.5065 0.2522
O20 0.6549 0.9935 0.7522
O21 0.7898 0.5634 0.4106
O22 0.7898 0.9366 0.9106
O23 0.8491 0.6715 0.0207
O24 0.8491 0.8285 0.5207
O25 0.9411 0.5901 0.8613
O26 0.9411 0.9099 0.3613
O27 0.9569 0.6931 0.6815
O28 0.9569 0.8069 0.1815

Largest 6 diffraction maxima, low angle first, 2θ = 15–90°:
2θ (°), I_rel
22.5, 20
23.3, 100
25.4, 11
27.0, 23
33.3, 20
37.4, 11

---

For MgFe2Cu2O4, a GGA+U-relaxed structure gives the calculated PXRD pattern in this record (Cu Ka).
Neutral-atom scattering factors, no anomalous dispersion.

Lattice parameters (Å, degrees): 3.0400 3.0400 13.4028 90.00 90.00 120.00
Positions (direct):
Mg1 0.0000 0.0000 0.0000
Fe1 0.6667 0.3333 0.3791
Fe2 0.6667 0.3333 0.8062
Cu1 0.0000 0.0000 0.5959
Cu2 0.3333 0.6667 0.1571
O1 0.0000 0.0000 0.4588
O2 0.0000 0.0000 0.7348
O3 0.3333 0.6667 0.3025
O4 0.3333 0.6667 0.9079

Largest 6 diffraction maxima, low angle first, 2θ = 15–90°:
2θ (°), I_rel
33.4, 29
34.7, 71
36.7, 100
39.7, 46
59.7, 35
61.0, 40

---

For Li2Ni3WO8, a GGA+U-relaxed structure gives the calculated PXRD pattern in this record (Cu Ka).
Neutral-atom scattering factors, no anomalous dispersion.

Lattice parameters (Å, degrees): 5.9988 5.9988 5.9988 59.37 59.37 59.37
Positions (direct):
Li1 0.1299 0.1299 0.1299
Li2 0.8701 0.8701 0.8701
Ni1 0.0000 0.5000 0.5000
Ni2 0.5000 0.0000 0.5000
Ni3 0.5000 0.5000 0.0000
W1 0.5000 0.5000 0.5000
O1 0.2684 0.2684 0.7244
O2 0.2684 0.7244 0.2684
O3 0.2701 0.2701 0.2701
O4 0.2756 0.7316 0.7316
O5 0.7244 0.2684 0.2684
O6 0.7299 0.7299 0.7299
O7 0.7316 0.2756 0.7316
O8 0.7316 0.7316 0.2756

Largest 6 diffraction maxima, low angle first, 2θ = 15–90°:
2θ (°), I_rel
18.3, 100
21.0, 14
35.0, 21
35.3, 34
37.0, 16
42.8, 40

---

For ZnCu4W5O20, a GGA+U-relaxed structure gives the calculated PXRD pattern in this record (Cu Ka).
Neutral-atom scattering factors, no anomalous dispersion.

Lattice parameters (Å, degrees): 4.7515 7.5777 19.5236 91.25 96.32 92.55
Positions (direct):
Zn1 0.0000 0.0000 0.0000
Zn2 0.0032 0.5986 0.2003
Cu1 0.9834 0.4066 0.8070
Cu2 0.9854 0.8069 0.6074
Cu3 0.9870 0.2068 0.4075
Cu4 0.9899 0.3962 0.9688
Cu5 0.9918 0.9965 0.1685
Cu6 0.9933 0.1943 0.5680
Cu7 0.9944 0.5943 0.3679
Cu8 0.9938 0.7946 0.7676
W1 0.4786 0.1040 0.8705
W2 0.4816 0.7025 0.0720
W3 0.4824 0.9021 0.4707
W4 0.4828 0.5029 0.6706
W5 0.4858 0.3008 0.2723
W6 0.4905 0.6969 0.9060
W7 0.4955 0.0995 0.7047
W8 0.4954 0.2953 0.1061
W9 0.4955 0.4991 0.5049
W10 0.5003 0.8975 0.3048
O1 0.2185 0.6356 0.8302
O2 0.2225 0.0340 0.6298
O3 0.2221 0.4345 0.4304
O4 0.2229 0.2409 0.0307
O5 0.2254 0.8395 0.2307
O6 0.2355 0.2831 0.8717
O7 0.2385 0.0812 0.4725
O8 0.2390 0.6819 0.6723
O9 0.2417 0.8814 0.0746
O10 0.2467 0.4804 0.2754
O11 0.2655 0.6002 0.9783
O12 0.2660 0.9377 0.9200
O13 0.2687 0.5361 0.1208
O14 0.2704 0.1998 0.1783
O15 0.2713 0.0005 0.7779
O16 0.2720 0.4011 0.5781
O17 0.2748 0.7331 0.5176
O18 0.2750 0.8004 0.3779
O19 0.2756 0.3332 0.7173
O20 0.2773 0.1319 0.3182
O21 0.6956 0.8699 0.8605
O22 0.6996 0.4698 0.0609
O23 0.7000 0.7962 0.9981
O24 0.7042 0.2004 0.7981
O25 0.7044 0.3950 0.1982
O26 0.7045 0.6680 0.4588
O27 0.7048 0.2682 0.6587
O28 0.7069 0.6006 0.5983
O29 0.7082 0.9994 0.3984
O30 0.7087 0.0677 0.2592
O31 0.7366 0.5208 0.9030
O32 0.7392 0.3198 0.5039
O33 0.7400 0.9205 0.7038
O34 0.7427 0.1194 0.1003
O35 0.7449 0.7183 0.3011
O36 0.7518 0.1747 0.9437
O37 0.7555 0.7737 0.1445
O38 0.7560 0.9674 0.5461
O39 0.7568 0.5676 0.7460
O40 0.7606 0.3663 0.3466

Largest 6 diffraction maxima, low angle first, 2θ = 15–90°:
2θ (°), I_rel
18.8, 71
22.9, 89
28.1, 100
30.2, 80
30.9, 70
36.0, 80